Starting from a cell relaxed with PBE, the powder diffraction line list of K2Rh3F8 was computed for λ = 1.5418 Å (Cu Kα).
No peak broadening, texture or thermal motion is included.

Structure:
```
data_K2Rh3F8
_chemical_formula_sum 'K4 Rh6 F16'
_cell_length_a 13.454
_cell_length_b 5.650
_cell_length_c 6.703
_cell_angle_alpha 90.00
_cell_angle_beta 114.35
_cell_angle_gamma 90.00
_symmetry_space_group_name_H-M 'C 1 2/m 1'
_symmetry_Int_Tables_number 12
loop_
_symmetry_equiv_pos_as_xyz
'x,y,z'
'-x,-y,-z'
'-x,y,-z'
'x,-y,z'
'x+1/2,y+1/2,z'
'-x+1/2,-y+1/2,-z'
'-x+1/2,y+1/2,-z'
'x+1/2,-y+1/2,z'
loop_
_atom_site_label
_atom_site_type_symbol
_atom_site_fract_x
_atom_site_fract_y
_atom_site_fract_z
K1 K 0.183 0.000 0.105
Rh1 Rh 0.000 0.294 0.500
Rh2 Rh 0.000 0.500 0.000
F1 F 0.051 0.262 0.249
F2 F 0.108 0.000 0.658
F3 F 0.149 0.500 0.000
```

The 6 most intense peaks (10 to 90 degrees two-theta), by intensity:
h k l  2theta  Rel. int.
2 0 0  14.45  100
0 2 1  35.00  29
2 0 -2  26.71  25
3 1 0  26.93  22
1 1 0  17.28  20
2 0 1  24.47  17